Diffraction record for KMnFeF6. The X-ray powder pattern is computed, not measured: it uses the PBE+U geometry in Alexandria and copper Kα.

Crystal structure
```
data_KMnFeF6
_chemical_formula_sum 'K1 Mn1 Fe1 F6'
_cell_length_a 5.4228
_cell_length_b 5.4404
_cell_length_c 5.6547
_cell_angle_alpha 90.05
_cell_angle_beta 90.01
_cell_angle_gamma 119.72
_space_group_name_H-M_alt 'P 1'
_space_group_IT_number 1
_space_group_name_Hall 'P 1'
loop_
_atom_site_label
_atom_site_fract_x
_atom_site_fract_y
_atom_site_fract_z
K1 0.0000 0.0000 0.0000
Mn1 0.3332 0.6668 0.5001
Fe1 0.6658 0.3331 0.4999
F1 0.0195 0.6395 0.3140
F2 0.0257 0.3881 0.6930
F3 0.3605 0.3909 0.3073
F4 0.3649 0.9784 0.6890
F5 0.6128 0.9799 0.3091
F6 0.6166 0.6393 0.6876
```

Most intense lines, 2θ from 15° to 90°, by intensity:
Position (°2θ)  Rel. int.
24.59  100
15.67  76
46.37  43
46.25  30
36.72  25
24.64  20
32.88  16
36.57  14
33.04  9
52.28  9
18.81  8
54.09  8